(1)
V6O7F5: simulated XRD peak list (CuKα), based on a PBE+U-relaxed structure.
Peak positions follow from Bragg's law for the DFT cell and can differ from measured ones.

Most intense lines, 2θ = 10–90°, most intense first:
Position (°2θ), I_rel
25.54, 100
27.76, 97
34.88, 94
51.32, 65
53.82, 53
66.74, 43
60.38, 27
39.12, 25

Crystal structure
```
18
Lattice="9.1991 0.0000 0.0000 0.0000 3.2141 3.4880 0.0000 -3.2141 3.4880" Properties=species:S:1:pos:R:3 pbc="T T T"
V 0.0000 0.0000 0.0000
V 1.4753 0.0000 3.1580
V 3.0614 0.0000 6.6559
V 4.5996 0.0000 3.1776
V 6.1377 0.0000 6.6559
V 7.7238 0.0000 3.1580
O 0.0000 0.0000 1.7991
O 1.5031 -1.9528 3.2041
O 1.5031 1.9528 3.2041
O 4.5996 -1.9256 3.1692
O 4.5996 1.9256 3.1692
O 7.6960 -1.9528 3.2041
O 7.6960 1.9528 3.2041
F 0.0000 0.0000 4.5721
F 3.0480 0.0000 1.8115
F 3.0429 0.0000 4.5371
F 6.1511 0.0000 1.8115
F 6.1563 0.0000 4.5371
```

(2)
V6O7F5: simulated XRD peak list (CuKα), based on a PBE+U-relaxed structure.
Peak positions follow from Bragg's law for the DFT cell and can differ from measured ones.

Most intense lines, 2θ = 10–90°, most intense first:
Position (°2θ), I_rel
27.44, 100
26.56, 98
34.73, 48
53.39, 30
34.60, 26
34.42, 25
59.34, 19
54.70, 18

Crystal structure
```
18
Lattice="5.5835 0.0000 0.0000 1.8266 5.3061 0.0000 2.2353 1.6769 6.8821" Properties=species:S:1:pos:R:3 pbc="T T T"
V 0.0000 0.0000 0.0000
V 1.2184 1.1044 3.4555
V 2.8140 2.2891 1.2473
V 4.1346 3.2618 4.6867
V 5.7320 4.3433 2.3270
V 6.8863 5.2806 5.6645
O 2.9074 4.8022 4.6593
O 3.0690 3.8688 0.0194
O 2.8227 0.6812 2.3564
O 5.7307 4.3359 4.4419
O 5.1510 1.5449 4.6216
O 5.7691 4.3192 0.2551
O 6.8063 2.7294 2.3440
F 2.4199 2.0224 4.8652
F 3.8872 3.0410 6.7303
F 4.0401 3.2138 2.6071
F 4.5419 1.7819 0.0521
F 7.4318 5.4590 2.0551
```

(3)
V2O3F3: simulated XRD peak list (CuKα), based on a PBE+U-relaxed structure.
Peak positions follow from Bragg's law for the DFT cell and can differ from measured ones.

Most intense lines, 2θ = 10–90°, most intense first:
Position (°2θ), I_rel
18.30, 100
25.22, 31
25.33, 30
37.87, 20
45.04, 17
48.11, 15
33.35, 13
52.06, 10

Crystal structure
```
8
Lattice="4.8055 0.0000 0.0000 1.1376 4.6806 0.0000 1.0932 1.7192 4.8485" Properties=species:S:1:pos:R:3 pbc="T T T"
V 0.0000 0.0000 0.0000
V 3.7603 4.1210 4.8398
O 1.8293 3.7522 1.2437
O 2.4028 3.0811 4.8436
O 2.9139 5.4765 3.5948
F 3.7395 1.3303 1.2174
F 5.3352 5.4275 4.8476
F 4.8269 3.0554 3.6152
```

(4)
V2OF5: simulated XRD peak list (CuKα), based on a PBE+U-relaxed structure.
Peak positions follow from Bragg's law for the DFT cell and can differ from measured ones.

Most intense lines, 2θ = 10–90°, most intense first:
Position (°2θ), I_rel
25.61, 100
20.75, 74
20.44, 43
40.52, 42
32.99, 30
52.15, 28
52.62, 26
52.26, 24

Crystal structure
```
16
Lattice="4.9192 0.0000 0.0000 0.0000 4.9195 0.0000 -4.8919 0.0000 8.6913" Properties=species:S:1:pos:R:3 pbc="T T T"
V 0.0000 1.1562 0.0000
V -2.4460 3.7632 4.3457
V 0.1383 1.1773 5.5059
V 2.5843 3.7421 1.1603
O 1.0863 0.2335 4.4700
O 3.5322 4.6860 0.1243
F -3.9494 0.3552 7.1444
F -1.5034 4.5642 2.7988
F -0.9913 2.3070 4.4262
F 1.4547 2.6125 0.0805
F 1.1130 0.1451 1.2711
F -1.3330 4.7743 5.6167
F -0.7447 2.0640 7.1176
F 1.7012 2.8555 2.7719
F 3.9045 2.2669 1.2655
F 1.4586 2.6525 5.6111
```

(5)
V2OF5: simulated XRD peak list (CuKα), based on a PBE+U-relaxed structure.
Peak positions follow from Bragg's law for the DFT cell and can differ from measured ones.

Most intense lines, 2θ = 10–90°, most intense first:
Position (°2θ), I_rel
23.44, 100
47.89, 15
53.39, 14
32.95, 12
39.43, 10
54.59, 8
48.04, 7
53.53, 7

Crystal structure
```
32
Lattice="4.7452 -2.6509 0.0000 4.7452 2.6509 0.0000 -3.6391 0.0000 17.3968" Properties=species:S:1:pos:R:3 pbc="T T T"
V -0.2372 0.0000 3.1730
V -0.2725 -0.1457 9.8371
V -0.4723 -0.0593 16.2865
V 2.9017 0.0352 5.4344
V 2.9497 0.0352 11.9623
V 6.3236 -0.0593 1.1103
V 6.1238 -0.1457 7.5596
V 6.0886 0.0000 14.2238
O -2.0647 0.3226 15.1916
O 2.1111 1.3326 6.1450
O 3.7402 1.3326 11.2518
O 7.9161 0.3226 2.2051
F 0.4146 1.0068 8.3273
F 2.4807 0.9783 0.4008
F 0.4431 1.5488 15.6004
F 2.9257 2.0867 8.6984
F 3.7496 0.9900 3.9399
F 1.2802 0.3179 10.9300
F 5.4083 1.5488 1.7964
F 2.1018 0.9900 13.4568
F 1.4115 -0.5002 4.2761
F 3.3707 0.9783 16.9960
F 0.2548 -1.1132 14.7828
F 4.5711 0.3179 6.4668
F 5.4368 1.0068 9.0695
F 4.7452 -0.5258 0.0000
F 2.3311 -1.2492 6.8334
F 1.9447 -1.6019 12.6788
F 3.9067 -1.6019 4.7179
F 3.5203 -1.2492 10.5634
F 4.4398 -0.5002 13.1207
F 5.5965 -1.1132 2.6140
```

(6)
VOF3: simulated XRD peak list (CuKα), based on a PBE+U-relaxed structure.
Peak positions follow from Bragg's law for the DFT cell and can differ from measured ones.

Most intense lines, 2θ = 10–90°, most intense first:
Position (°2θ), I_rel
16.97, 100
19.96, 85
24.20, 44
26.31, 43
40.62, 22
36.93, 16
62.62, 15
37.92, 14

Crystal structure
```
20
Lattice="7.3568 0.0000 0.0000 0.0000 5.2259 0.0000 0.0000 0.0000 8.8955" Properties=species:S:1:pos:R:3 pbc="T T T"
V 0.1505 0.1428 0.0000
V 3.5279 0.1428 4.4478
V 3.8290 5.0831 0.0000
V 7.2063 5.0831 4.4478
O 0.3510 0.7871 7.4487
O 3.3274 0.7871 3.0009
O 4.0294 4.4388 7.4487
O 7.0058 4.4388 3.0009
F 0.4110 1.5276 4.2904
F 0.5259 1.3369 1.2473
F 1.7444 4.6157 4.7184
F 1.9340 4.6157 0.2706
F 3.1525 1.3369 5.6950
F 3.2674 1.5276 8.7381
F 4.0894 3.6983 4.2904
F 4.2043 3.8890 1.2473
F 5.4228 0.6102 4.7184
F 5.6124 0.6102 0.2706
F 6.8309 3.8890 5.6950
F 6.9458 3.6983 8.7381
```